(1)
# PrGd2Cu4Sn4
Simulated PXRD pattern, CuKα. Input: the GGA-PBE geometry in OQMD.
Intensities are scaled so that the largest is 1000.

Atomic structure:
a b c (Å): 8.5103 8.5103 8.5103
angles (deg): 149.31 131.27 58.70
Positions (direct):
1 Pr 0.0000 0.0000 0.0000
2 Gd 0.3684 0.8684 0.5000
3 Gd 0.6316 0.1316 0.5000
4 Cu 0.0168 0.3295 0.6873
5 Cu 0.3577 0.6705 0.6873
6 Cu 0.6423 0.3295 0.3127
7 Cu 0.9832 0.6705 0.3127
8 Sn 0.2174 0.2174 0.0000
9 Sn 0.3011 0.5000 0.8011
10 Sn 0.6989 0.5000 0.1989
11 Sn 0.7826 0.7826 0.0000

Largest 6 diffraction maxima, in order of falling intensity, 2θ = 15–90°:
d/Å	I (rel.)
2.651	1000
2.722	948
2.252	432
2.733	258
2.116	238
2.024	235

=====

(2)
# RbGd2CuTeS3
Simulated PXRD pattern, CuKα. Input: the GGA-PBE geometry in OQMD.
Intensities are scaled so that the largest is 1000.

Atomic structure:
a b c (Å): 7.3886 7.3886 14.2876
angles (deg): 90.00 90.00 147.68
Positions (direct):
1 Rb 0.1341 0.8659 0.7500
2 Rb 0.8659 0.1341 0.2500
3 Gd 0.3670 0.6330 0.5514
4 Gd 0.3670 0.6330 0.9486
5 Gd 0.6330 0.3670 0.0514
6 Gd 0.6330 0.3670 0.4486
7 Cu 0.1676 0.8324 0.2500
8 Cu 0.8324 0.1676 0.7500
9 Te 0.4431 0.5569 0.7500
10 Te 0.5569 0.4431 0.2500
11 S 0.0000 0.0000 0.0000
12 S 0.0000 0.0000 0.5000
13 S 0.2520 0.7480 0.1065
14 S 0.2520 0.7480 0.3935
15 S 0.7480 0.2520 0.6065
16 S 0.7480 0.2520 0.8935

Largest 6 diffraction maxima, in order of falling intensity, 2θ = 15–90°:
d/Å	I (rel.)
2.847	1000
3.952	458
3.034	450
2.097	311
2.651	286
3.572	265

=====

(3)
# RbGd2Cu3Se5
Simulated PXRD pattern, CuKα. Input: the GGA-PBE geometry in OQMD.
Intensities are scaled so that the largest is 1000.

Atomic structure:
a b c (Å): 7.5583 7.5583 17.2167
angles (deg): 90.00 90.00 148.22
Positions (direct):
1 Rb 0.0611 0.9389 0.7500
2 Rb 0.9389 0.0611 0.2500
3 Gd 0.1915 0.8085 0.0924
4 Gd 0.1915 0.8085 0.4076
5 Gd 0.8085 0.1915 0.5924
6 Gd 0.8085 0.1915 0.9076
7 Cu 0.3407 0.6593 0.7500
8 Cu 0.4144 0.5856 0.0275
9 Cu 0.4144 0.5856 0.4725
10 Cu 0.5856 0.4144 0.5275
11 Cu 0.5856 0.4144 0.9725
12 Cu 0.6593 0.3407 0.2500
13 Se 0.1642 0.8358 0.5718
14 Se 0.1642 0.8358 0.9282
15 Se 0.2462 0.7538 0.2500
16 Se 0.4423 0.5577 0.6174
17 Se 0.4423 0.5577 0.8826
18 Se 0.5577 0.4423 0.1174
19 Se 0.5577 0.4423 0.3826
20 Se 0.7538 0.2462 0.7500
21 Se 0.8358 0.1642 0.0718
22 Se 0.8358 0.1642 0.4282

Largest 6 diffraction maxima, in order of falling intensity, 2θ = 15–90°:
d/Å	I (rel.)
3.096	1000
2.541	913
3.147	836
2.869	834
2.956	825
2.070	779

=====

(4)
# Rb2Gd4Cu4Se9
Simulated PXRD pattern, CuKα. Input: the GGA-PBE geometry in OQMD.
Intensities are scaled so that the largest is 1000.

Atomic structure:
a b c (Å): 7.5616 7.5616 16.7241
angles (deg): 108.26 108.26 31.84
Positions (direct):
1 Rb 0.0305 0.0305 0.2708
2 Rb 0.9695 0.9695 0.7292
3 Gd 0.2305 0.2305 0.1024
4 Gd 0.3454 0.3454 0.4443
5 Gd 0.6546 0.6546 0.5557
6 Gd 0.7695 0.7695 0.8976
7 Cu 0.2445 0.2445 0.7298
8 Cu 0.4251 0.4251 0.0301
9 Cu 0.5749 0.5749 0.9699
10 Cu 0.7555 0.7555 0.2702
11 Se 0.0000 0.0000 0.5000
12 Se 0.1363 0.1363 0.9231
13 Se 0.2988 0.2988 0.6026
14 Se 0.3479 0.3479 0.2758
15 Se 0.3946 0.3946 0.8730
16 Se 0.6054 0.6054 0.1270
17 Se 0.6521 0.6521 0.7242
18 Se 0.7012 0.7012 0.3974
19 Se 0.8637 0.8637 0.0769

Largest 6 diffraction maxima, in order of falling intensity, 2θ = 15–90°:
d/Å	I (rel.)
2.074	1000
3.105	999
2.902	939
3.151	805
3.075	672
2.952	616

=====

(5)
# Gd3CuSe6
Simulated PXRD pattern, CuKα. Input: the GGA-PBE geometry in OQMD.
Intensities are scaled so that the largest is 1000.

Atomic structure:
a b c (Å): 7.1665 7.8274 16.9383
angles (deg): 90.00 90.00 90.00
Positions (direct):
1 Gd 0.2384 0.0600 0.0895
2 Gd 0.2384 0.0600 0.4105
3 Gd 0.2384 0.4400 0.5895
4 Gd 0.2384 0.4400 0.9105
5 Gd 0.2611 0.0574 0.7500
6 Gd 0.2611 0.4426 0.2500
7 Gd 0.7389 0.5574 0.7500
8 Gd 0.7389 0.9426 0.2500
9 Gd 0.7616 0.5600 0.0895
10 Gd 0.7616 0.5600 0.4105
11 Gd 0.7616 0.9400 0.5895
12 Gd 0.7616 0.9400 0.9105
13 Cu 0.4049 0.7500 0.0000
14 Cu 0.4049 0.7500 0.5000
15 Cu 0.5951 0.2500 0.0000
16 Cu 0.5951 0.2500 0.5000
17 Se 0.0690 0.7500 0.0000
18 Se 0.0690 0.7500 0.5000
19 Se 0.0723 0.7473 0.6747
20 Se 0.0723 0.7473 0.8253
21 Se 0.0723 0.7527 0.1747
22 Se 0.0723 0.7527 0.3253
23 Se 0.3818 0.0874 0.5810
24 Se 0.3818 0.0874 0.9190
25 Se 0.3818 0.4126 0.0810
26 Se 0.3818 0.4126 0.4190
27 Se 0.3830 0.0994 0.2500
28 Se 0.3830 0.4006 0.7500
29 Se 0.6170 0.5994 0.2500
30 Se 0.6170 0.9006 0.7500
31 Se 0.6182 0.5874 0.5810
32 Se 0.6182 0.5874 0.9190
33 Se 0.6182 0.9126 0.0810
34 Se 0.6182 0.9126 0.4190
35 Se 0.9277 0.2473 0.6747
36 Se 0.9277 0.2473 0.8253
37 Se 0.9277 0.2527 0.1747
38 Se 0.9277 0.2527 0.3253
39 Se 0.9310 0.2500 0.0000
40 Se 0.9310 0.2500 0.5000

Largest 6 diffraction maxima, in order of falling intensity, 2θ = 15–90°:
d/Å	I (rel.)
3.859	1000
2.289	971
2.452	908
2.118	785
2.490	567
2.643	557

=====

(6)
# GdCuSnTe2Se
Simulated PXRD pattern, CuKα. Input: the GGA-PBE geometry in OQMD.
Intensities are scaled so that the largest is 1000.

Atomic structure:
a b c (Å): 7.5020 7.5020 10.6513
angles (deg): 90.00 90.00 147.43
Positions (direct):
1 Gd 0.0000 0.0000 0.0000
2 Gd 0.0000 0.0000 0.5000
3 Cu 0.4756 0.5244 0.7500
4 Cu 0.5244 0.4756 0.2500
5 Sn 0.2559 0.7441 0.2500
6 Sn 0.7441 0.2559 0.7500
7 Te 0.3504 0.6496 0.5664
8 Te 0.3504 0.6496 0.9336
9 Te 0.6496 0.3504 0.0664
10 Te 0.6496 0.3504 0.4336
11 Se 0.0753 0.9247 0.7500
12 Se 0.9247 0.0753 0.2500

Largest 6 diffraction maxima, in order of falling intensity, 2θ = 15–90°:
d/Å	I (rel.)
2.720	1000
2.665	854
3.164	766
3.033	757
3.184	481
2.104	443

=====

(7)
# GdCuSnTeSe2
Simulated PXRD pattern, CuKα. Input: the GGA-PBE geometry in OQMD.
Intensities are scaled so that the largest is 1000.

Atomic structure:
a b c (Å): 7.2137 7.2137 11.1652
angles (deg): 90.00 90.00 146.96
Positions (direct):
1 Gd 0.0000 0.0000 0.0000
2 Gd 0.0000 0.0000 0.5000
3 Cu 0.4698 0.5302 0.7500
4 Cu 0.5302 0.4698 0.2500
5 Sn 0.2142 0.7858 0.2500
6 Sn 0.7858 0.2142 0.7500
7 Te 0.0952 0.9048 0.7500
8 Te 0.9048 0.0952 0.2500
9 Se 0.3630 0.6370 0.5715
10 Se 0.3630 0.6370 0.9285
11 Se 0.6370 0.3630 0.0715
12 Se 0.6370 0.3630 0.4285

Largest 6 diffraction maxima, in order of falling intensity, 2θ = 15–90°:
d/Å	I (rel.)
2.687	1000
2.955	677
2.791	325
2.051	281
2.276	223
2.122	202

=====

(8)
# SmGd2Cu4Si4
Simulated PXRD pattern, CuKα. Input: the GGA-PBE geometry in OQMD.
Intensities are scaled so that the largest is 1000.

Atomic structure:
a b c (Å): 12.1842 12.1842 12.1842
angles (deg): 160.91 160.77 27.23
Positions (direct):
1 Sm 0.0000 0.0000 0.0000
2 Gd 0.3497 0.8497 0.5000
3 Gd 0.6503 0.1503 0.5000
4 Cu 0.0968 0.5968 0.5000
5 Cu 0.2500 0.2500 0.0000
6 Cu 0.7500 0.7500 0.0000
7 Cu 0.9032 0.4032 0.5000
8 Si 0.1944 0.6944 0.5000
9 Si 0.4495 0.4495 0.0000
10 Si 0.5505 0.5505 0.0000
11 Si 0.8056 0.3056 0.5000

Largest 6 diffraction maxima, in order of falling intensity, 2θ = 15–90°:
d/Å	I (rel.)
2.581	1000
2.594	397
3.618	299
2.035	212
2.021	207
2.210	183

=====

(9)
# Gd2YCu4Si4
Simulated PXRD pattern, CuKα. Input: the GGA-PBE geometry in OQMD.
Intensities are scaled so that the largest is 1000.

Atomic structure:
a b c (Å): 7.9062 7.9062 7.9062
angles (deg): 149.44 131.05 58.82
Positions (direct):
1 Gd 0.1302 0.1302 0.0000
2 Gd 0.8698 0.8698 0.0000
3 Y 0.5000 0.0000 0.5000
4 Cu 0.1416 0.3316 0.8099
5 Cu 0.4783 0.6684 0.8099
6 Cu 0.5217 0.3316 0.1901
7 Cu 0.8584 0.6684 0.1901
8 Si 0.1845 0.5000 0.6845
9 Si 0.2842 0.7842 0.5000
10 Si 0.7158 0.2158 0.5000
11 Si 0.8155 0.5000 0.3155

Largest 6 diffraction maxima, in order of falling intensity, 2θ = 15–90°:
d/Å	I (rel.)
2.460	1000
2.532	872
2.084	374
1.972	363
2.246	363
3.516	285

=====

(10)
# SmGd2Tl3Cu3
Simulated PXRD pattern, CuKα. Input: the GGA-PBE geometry in OQMD.
Intensities are scaled so that the largest is 1000.

Atomic structure:
a b c (Å): 3.9339 7.6770 7.6770
angles (deg): 120.00 90.00 90.00
Positions (direct):
1 Sm 0.0000 0.0000 0.0000
2 Gd 0.0000 0.4075 0.8150
3 Gd 0.0000 0.8150 0.4075
4 Tl 0.5000 0.1470 0.4091
5 Tl 0.5000 0.4091 0.1470
6 Tl 0.5000 0.6684 0.6684
7 Cu 0.0000 0.4088 0.4088
8 Cu 0.5000 0.0754 0.7397
9 Cu 0.5000 0.7397 0.0754

Largest 6 diffraction maxima, in order of falling intensity, 2θ = 15–90°:
d/Å	I (rel.)
2.747	1000
2.539	554
2.513	541
1.422	270
1.549	249
2.216	245

=====

(11)
# GdTmCu2Sn
Simulated PXRD pattern, CuKα. Input: the GGA-PBE geometry in OQMD.
Intensities are scaled so that the largest is 1000.

Atomic structure:
a b c (Å): 3.6104 7.1982 7.1982
angles (deg): 34.05 90.00 90.00
Positions (direct):
1 Gd 0.0000 0.0000 0.0000
2 Tm 0.0000 0.7377 0.7377
3 Cu 0.5000 0.1697 0.1697
4 Cu 0.5000 0.5731 0.5731
5 Sn 0.5000 0.3681 0.3681

Largest 6 diffraction maxima, in order of falling intensity, 2θ = 15–90°:
d/Å	I (rel.)
2.689	1000
2.491	661
2.305	429
1.609	349
3.104	349
2.108	289

=====

(12)
# GdTmCu2Sn2
Simulated PXRD pattern, CuKα. Input: the GGA-PBE geometry in OQMD.
Intensities are scaled so that the largest is 1000.

Atomic structure:
a b c (Å): 4.5248 4.5248 7.2113
angles (deg): 90.00 90.00 120.00
Positions (direct):
1 Gd 0.0000 0.0000 0.0000
2 Tm 0.0000 0.0000 0.4993
3 Cu 0.3333 0.6667 0.3244
4 Cu 0.6667 0.3333 0.8116
5 Sn 0.3333 0.6667 0.7260
6 Sn 0.6667 0.3333 0.2342

Largest 6 diffraction maxima, in order of falling intensity, 2θ = 15–90°:
d/Å	I (rel.)
2.653	1000
2.262	670
1.722	277
1.370	260
1.410	165
3.443	130